This entry pairs a crystal structure of Be2Ni2SbO6 with its simulated powder diffractogram. Radiation: λ = 1.5418 Å (Cu Kα). Structure: a crystal structure in Alexandria, relaxed with GGA+U.
Intensities are scaled so that the largest is 100.

Largest 8 diffraction maxima, by angle, 5° ≤ 2θ ≤ 70°:
- 26.6°, I 100, hkl 0 1 1
- 35.4°, I 36, hkl 1 1 0
- 40.3°, I 28, hkl 1 0 2
- 44.8°, I 27, hkl 2 0 1
- 50.2°, I 21, hkl 2 -1 2
- 58.3°, I 23, hkl 1 2 1
- 63.5°, I 14, hkl 3 0 0
- 66.8°, I 11, hkl 3 -1 2

Cell lengths 5.0734, 5.0734, 5.2003 Å; angles 90.00, 90.00, 120.00 degrees
Space group P-3 (No. 147)
Inequivalent atoms, fractional coordinates:
1 Be 0.3333 0.6667 0.3371
2 Ni 0.3333 0.6667 0.8990
3 Sb 0.0000 0.0000 0.5000
4 O 0.0366 0.6719 0.2648